No. 1
Starting from the PBE+U geometry in Alexandria, the PXRD pattern of Li4Fe5SbO12 was calculated for Cu Kα (weighted mean of Kα1 and Kα2).
Peak positions follow from Bragg's law for the DFT cell and can differ from measured ones.

The 6 most intense peaks (2θ from 15° to 90°), sorted by position:
2θ (°)  intensity
17.1  100
35.3  14
36.5  18
42.3  18
45.3  15
62.3  14

Crystal structure
```
Li4Fe5SbO12
1.0
2.587 -4.470 0.000
2.587 4.470 0.000
-1.398 0.000 10.356
Li Fe Sb O
4 5 1 12
direct
0.050 0.388 0.210
0.388 0.050 0.210
0.612 0.950 0.790
0.950 0.612 0.790
0.000 0.000 0.000
0.165 0.835 0.500
0.337 0.663 0.000
0.663 0.337 0.000
0.835 0.165 0.500
0.500 0.500 0.500
0.039 0.701 0.105
0.133 0.474 0.402
0.186 0.186 0.594
0.299 0.961 0.895
0.343 0.343 0.105
0.474 0.133 0.402
0.526 0.867 0.598
0.657 0.657 0.895
0.701 0.039 0.105
0.814 0.814 0.406
0.867 0.526 0.598
0.961 0.299 0.895
```

=====

No. 2
Starting from the PBE+U geometry in Alexandria, the PXRD pattern of Li2Fe2SbO6 was calculated for Cu Kα (weighted mean of Kα1 and Kα2).
Peak positions follow from Bragg's law for the DFT cell and can differ from measured ones.

The 6 most intense peaks (2θ from 15° to 90°), sorted by position:
2θ (°)  intensity
17.3  100
35.1  47
37.8  22
43.3  38
56.9  19
60.7  18

Crystal structure
```
Li2Fe2SbO6
1.0
4.553 -2.686 0.000
4.553 2.686 0.000
0.000 0.000 10.247
Li Fe Sb O
4 4 2 12
direct
0.120 0.380 0.250
0.380 0.120 0.750
0.620 0.880 0.250
0.880 0.620 0.750
0.157 0.157 0.000
0.343 0.343 0.500
0.657 0.657 0.500
0.843 0.843 0.000
0.000 0.000 0.500
0.500 0.500 0.000
0.015 0.318 0.608
0.182 0.485 0.892
0.187 0.813 0.104
0.313 0.687 0.604
0.318 0.015 0.392
0.485 0.182 0.108
0.515 0.818 0.892
0.682 0.985 0.608
0.687 0.313 0.396
0.813 0.187 0.896
0.818 0.515 0.108
0.985 0.682 0.392
```

=====

No. 3
Starting from the PBE+U geometry in Alexandria, the PXRD pattern of Li6Fe5SbO12 was calculated for Cu Kα (weighted mean of Kα1 and Kα2).
Peak positions follow from Bragg's law for the DFT cell and can differ from measured ones.

The 6 most intense peaks (2θ from 15° to 90°), sorted by position:
2θ (°)  intensity
17.4  100
35.0  23
36.5  33
42.0  32
45.7  16
54.8  16

Crystal structure
```
Li6Fe5SbO12
1.0
2.595 -4.507 0.000
2.595 4.507 0.000
-1.713 0.000 10.222
Li Fe Sb O
6 5 1 12
direct
0.070 0.402 0.211
0.255 0.255 0.790
0.402 0.070 0.211
0.598 0.930 0.789
0.745 0.745 0.210
0.930 0.598 0.789
0.000 0.000 0.000
0.166 0.834 0.500
0.334 0.666 0.000
0.666 0.334 0.000
0.834 0.166 0.500
0.500 0.500 0.500
0.038 0.690 0.107
0.135 0.462 0.397
0.206 0.206 0.604
0.310 0.962 0.893
0.383 0.383 0.107
0.462 0.135 0.397
0.538 0.865 0.603
0.617 0.617 0.893
0.690 0.038 0.107
0.794 0.794 0.396
0.865 0.538 0.603
0.962 0.310 0.893
```

=====

No. 4
Starting from the PBE+U geometry in Alexandria, the PXRD pattern of Li2Fe3SbO8 was calculated for Cu Kα (weighted mean of Kα1 and Kα2).
Peak positions follow from Bragg's law for the DFT cell and can differ from measured ones.

The 6 most intense peaks (2θ from 15° to 90°), sorted by position:
2θ (°)  intensity
17.9  100
34.6  52
36.2  19
42.0  54
55.5  21
61.0  33

Crystal structure
```
Li2Fe3SbO8
1.0
8.597 0.000 0.000
0.000 8.597 0.000
0.000 0.000 8.597
Li Fe Sb O
8 12 4 32
direct
0.000 0.000 0.000
0.000 0.500 0.500
0.250 0.250 0.250
0.250 0.750 0.750
0.500 0.000 0.500
0.500 0.500 0.000
0.750 0.250 0.750
0.750 0.750 0.250
0.118 0.132 0.625
0.125 0.382 0.868
0.132 0.625 0.118
0.368 0.375 0.618
0.375 0.618 0.368
0.382 0.868 0.125
0.618 0.368 0.375
0.625 0.118 0.132
0.632 0.875 0.882
0.868 0.125 0.382
0.875 0.882 0.632
0.882 0.632 0.875
0.125 0.875 0.375
0.375 0.125 0.875
0.625 0.625 0.625
0.875 0.375 0.125
0.110 0.386 0.114
0.114 0.110 0.386
0.114 0.886 0.610
0.115 0.615 0.885
0.135 0.365 0.635
0.136 0.640 0.364
0.136 0.864 0.140
0.140 0.136 0.864
0.360 0.864 0.364
0.364 0.136 0.640
0.364 0.360 0.864
0.365 0.635 0.135
0.385 0.385 0.385
0.386 0.114 0.110
0.386 0.890 0.886
0.390 0.614 0.614
0.610 0.114 0.886
0.614 0.390 0.614
0.614 0.614 0.390
0.615 0.885 0.115
0.635 0.135 0.365
0.636 0.636 0.860
0.636 0.860 0.636
0.640 0.364 0.136
0.860 0.636 0.636
0.864 0.140 0.136
0.864 0.364 0.360
0.865 0.865 0.865
0.885 0.115 0.615
0.886 0.386 0.890
0.886 0.610 0.114
0.890 0.886 0.386
```

=====

No. 5
Starting from the PBE+U geometry in Alexandria, the PXRD pattern of Li4Fe5Sb3O16 was calculated for Cu Kα (weighted mean of Kα1 and Kα2).
Peak positions follow from Bragg's law for the DFT cell and can differ from measured ones.

The 6 most intense peaks (2θ from 15° to 90°), sorted by position:
2θ (°)  intensity
18.2  100
18.5  40
18.9  44
33.8  38
34.8  57
35.3  31

Crystal structure
```
Li4Fe5Sb3O16
1.0
5.408 -3.036 0.000
5.408 3.036 0.000
-0.345 0.000 9.775
Li Fe Sb O
4 5 3 16
direct
0.000 0.000 0.000
0.021 0.021 0.518
0.329 0.329 0.616
0.680 0.680 0.103
0.176 0.176 0.289
0.315 0.315 0.999
0.336 0.809 0.794
0.641 0.641 0.531
0.809 0.336 0.794
0.175 0.669 0.287
0.669 0.175 0.287
0.822 0.822 0.786
0.044 0.502 0.164
0.148 0.662 0.904
0.155 0.155 0.911
0.327 0.830 0.404
0.350 0.350 0.402
0.491 0.491 0.169
0.502 0.044 0.164
0.509 0.509 0.660
0.514 0.953 0.660
0.662 0.148 0.904
0.672 0.672 0.900
0.830 0.327 0.404
0.855 0.855 0.399
0.953 0.514 0.660
0.985 0.985 0.697
0.999 0.999 0.184
```